No. 1
Starting from a GGA-PBE-relaxed structure, the X-ray diffraction stick pattern of CsNaTeSe3 was calculated for copper Kα.
Kinematic intensities with the Lorentz-polarization factor, no thermal factor.

Cell lengths 8.116, 8.116, 7.798 Å; angles 90.00, 90.00, 122.55 degrees
Element x y z (fractional)
1 Cs 0.232 0.768 0.750
2 Cs 0.768 0.232 0.250
3 Na 0.076 0.924 0.250
4 Na 0.924 0.076 0.750
5 Te 0.458 0.542 0.250
6 Te 0.542 0.458 0.750
7 Se 0.247 0.247 0.000
8 Se 0.247 0.247 0.500
9 Se 0.281 0.719 0.250
10 Se 0.719 0.281 0.750
11 Se 0.753 0.753 0.000
12 Se 0.753 0.753 0.500

Most intense lines, 2θ = 5–70°, low angle first:
6.841 Å, 12.9°, I = 31; 3.900 Å, 22.8°, I = 36; 3.597 Å, 24.8°, I = 43; 3.559 Å, 25.0°, I = 55; 3.420 Å, 26.1°, I = 76; 2.758 Å, 32.5°, I = 100; 2.180 Å, 41.4°, I = 56; 2.027 Å, 44.7°, I = 30; 1.950 Å, 46.6°, I = 36; 1.710 Å, 53.6°, I = 26

=====

No. 2
Starting from a GGA-PBE-relaxed structure, the X-ray diffraction stick pattern of PmBe13 was calculated for copper Kα.
Kinematic intensities with the Lorentz-polarization factor, no thermal factor.

Cell lengths 7.264, 7.264, 7.264 Å; angles 60.00, 60.00, 60.00 degrees
Element x y z (fractional)
1 Pm 0.250 0.250 0.250
2 Pm 0.750 0.750 0.750
3 Be 0.000 0.000 0.000
4 Be 0.063 0.289 0.711
5 Be 0.063 0.711 0.937
6 Be 0.063 0.937 0.289
7 Be 0.211 0.437 0.789
8 Be 0.211 0.563 0.437
9 Be 0.211 0.789 0.563
10 Be 0.289 0.063 0.937
11 Be 0.289 0.711 0.063
12 Be 0.289 0.937 0.711
13 Be 0.437 0.211 0.563
14 Be 0.437 0.563 0.789
15 Be 0.437 0.789 0.211
16 Be 0.500 0.500 0.500
17 Be 0.563 0.211 0.789
18 Be 0.563 0.437 0.211
19 Be 0.563 0.789 0.437
20 Be 0.711 0.063 0.289
21 Be 0.711 0.289 0.937
22 Be 0.711 0.937 0.063
23 Be 0.789 0.211 0.437
24 Be 0.789 0.437 0.563
25 Be 0.789 0.563 0.211
26 Be 0.937 0.063 0.711
27 Be 0.937 0.289 0.063
28 Be 0.937 0.711 0.289

Most intense lines, 2θ = 5–70°, low angle first:
5.137 Å, 17.3°, I = 88; 3.632 Å, 24.5°, I = 100; 2.966 Å, 30.1°, I = 45; 2.568 Å, 34.9°, I = 22; 2.297 Å, 39.2°, I = 72; 2.097 Å, 43.1°, I = 61; 1.712 Å, 53.5°, I = 22; 1.624 Å, 56.7°, I = 26; 1.425 Å, 65.5°, I = 17; 1.373 Å, 68.3°, I = 28

=====

No. 3
Starting from a GGA-PBE-relaxed structure, the X-ray diffraction stick pattern of Ti4TeSe was calculated for copper Kα.
Kinematic intensities with the Lorentz-polarization factor, no thermal factor.

Cell lengths 7.499, 7.499, 6.082 Å; angles 106.24, 106.24, 45.35 degrees
Element x y z (fractional)
1 Ti 0.007 0.163 0.460
2 Ti 0.163 0.007 0.960
3 Ti 0.188 0.440 0.905
4 Ti 0.440 0.188 0.405
5 Ti 0.560 0.812 0.595
6 Ti 0.812 0.560 0.095
7 Ti 0.837 0.993 0.040
8 Ti 0.993 0.837 0.540
9 Te 0.346 0.654 0.250
10 Te 0.654 0.346 0.750
11 Se 0.000 0.500 0.500
12 Se 0.500 0.000 0.000

Most intense lines, 2θ = 5–70°, low angle first:
3.692 Å, 24.1°, I = 55; 3.378 Å, 26.4°, I = 64; 3.297 Å, 27.0°, I = 28; 3.010 Å, 29.7°, I = 27; 2.603 Å, 34.5°, I = 31; 2.527 Å, 35.5°, I = 100; 2.421 Å, 37.1°, I = 44; 2.399 Å, 37.5°, I = 68; 1.890 Å, 48.1°, I = 35; 1.870 Å, 48.7°, I = 38

=====

No. 4
Starting from a GGA-PBE-relaxed structure, the X-ray diffraction stick pattern of Mg6HIr3 was calculated for copper Kα.
Kinematic intensities with the Lorentz-polarization factor, no thermal factor.

Cell lengths 4.422, 4.692, 9.488 Å; angles 89.49, 76.61, 61.90 degrees
Element x y z (fractional)
1 Mg 0.000 0.000 0.000
2 Mg 0.011 0.438 0.536
3 Mg 0.205 0.399 0.189
4 Mg 0.243 0.828 0.684
5 Mg 0.478 0.220 0.823
6 Mg 0.814 0.025 0.343
7 H 0.525 0.424 0.519
8 Ir 0.475 0.663 0.384
9 Ir 0.557 0.769 0.118
10 Ir 0.793 0.567 0.846

Most intense lines, 2θ = 5–70°, low angle first:
9.167 Å, 9.6°, I = 36; 4.111 Å, 21.6°, I = 68; 3.853 Å, 23.1°, I = 100; 3.767 Å, 23.6°, I = 58; 2.340 Å, 38.5°, I = 48; 2.292 Å, 39.3°, I = 19; 2.231 Å, 40.4°, I = 49; 2.211 Å, 40.8°, I = 34; 2.120 Å, 42.7°, I = 33; 2.109 Å, 42.9°, I = 35

=====

No. 5
Starting from a GGA-PBE-relaxed structure, the X-ray diffraction stick pattern of Tb2Pr5DyEr was calculated for copper Kα.
Kinematic intensities with the Lorentz-polarization factor, no thermal factor.

Cell lengths 10.692, 10.692, 10.751 Å; angles 90.00, 90.00, 149.25 degrees
Element x y z (fractional)
1 Tb 0.113 0.887 0.500
2 Tb 0.115 0.885 0.068
3 Tb 0.885 0.115 0.568
4 Tb 0.887 0.113 0.000
5 Pr 0.015 0.985 0.777
6 Pr 0.279 0.721 0.074
7 Pr 0.296 0.704 0.467
8 Pr 0.383 0.617 0.782
9 Pr 0.484 0.516 0.506
10 Pr 0.516 0.484 0.006
11 Pr 0.617 0.383 0.282
12 Pr 0.704 0.296 0.967
13 Pr 0.721 0.279 0.574
14 Pr 0.985 0.015 0.277
15 Dy 0.198 0.802 0.771
16 Dy 0.802 0.198 0.271
17 Er 0.406 0.594 0.227
18 Er 0.594 0.406 0.727

Most intense lines, 2θ = 5–70°, low angle first:
3.391 Å, 26.3°, I = 8; 3.273 Å, 27.2°, I = 9; 2.997 Å, 29.8°, I = 22; 2.834 Å, 31.6°, I = 100; 2.688 Å, 33.3°, I = 10; 1.951 Å, 46.6°, I = 8; 1.667 Å, 55.1°, I = 9; 1.637 Å, 56.2°, I = 17; 1.594 Å, 57.8°, I = 7; 1.533 Å, 60.4°, I = 8

=====

No. 6
Starting from a GGA-PBE-relaxed structure, the X-ray diffraction stick pattern of Zr5TlAu was calculated for copper Kα.
Kinematic intensities with the Lorentz-polarization factor, no thermal factor.

Cell lengths 7.585, 7.585, 5.821 Å; angles 103.14, 103.14, 87.38 degrees
Element x y z (fractional)
1 Zr 0.155 0.339 0.589
2 Zr 0.164 0.542 0.177
3 Zr 0.231 0.769 0.750
4 Zr 0.339 0.155 0.089
5 Zr 0.458 0.836 0.323
6 Zr 0.542 0.164 0.677
7 Zr 0.661 0.845 0.911
8 Zr 0.769 0.231 0.250
9 Zr 0.836 0.458 0.823
10 Zr 0.845 0.661 0.411
11 Tl 0.062 0.938 0.250
12 Tl 0.938 0.062 0.750
13 Au 0.500 0.500 0.000
14 Au 0.500 0.500 0.500

Most intense lines, 2θ = 5–70°, low angle first:
5.207 Å, 17.0°, I = 47; 2.723 Å, 32.9°, I = 55; 2.603 Å, 34.5°, I = 38; 2.519 Å, 35.6°, I = 100; 2.462 Å, 36.5°, I = 77; 2.417 Å, 37.2°, I = 69; 2.367 Å, 38.0°, I = 50; 2.340 Å, 38.5°, I = 35; 2.331 Å, 38.6°, I = 40; 2.234 Å, 40.4°, I = 36

=====

What did the third record say?
Starting from a GGA-PBE-relaxed structure, the X-ray diffraction stick pattern of Ti4TeSe was calculated for copper Kα.
Kinematic intensities with the Lorentz-polarization factor, no thermal factor.

Cell lengths 7.499, 7.499, 6.082 Å; angles 106.24, 106.24, 45.35 degrees
Element x y z (fractional)
1 Ti 0.007 0.163 0.460
2 Ti 0.163 0.007 0.960
3 Ti 0.188 0.440 0.905
4 Ti 0.440 0.188 0.405
5 Ti 0.560 0.812 0.595
6 Ti 0.812 0.560 0.095
7 Ti 0.837 0.993 0.040
8 Ti 0.993 0.837 0.540
9 Te 0.346 0.654 0.250
10 Te 0.654 0.346 0.750
11 Se 0.000 0.500 0.500
12 Se 0.500 0.000 0.000

Most intense lines, 2θ = 5–70°, low angle first:
3.692 Å, 24.1°, I = 55; 3.378 Å, 26.4°, I = 64; 3.297 Å, 27.0°, I = 28; 3.010 Å, 29.7°, I = 27; 2.603 Å, 34.5°, I = 31; 2.527 Å, 35.5°, I = 100; 2.421 Å, 37.1°, I = 44; 2.399 Å, 37.5°, I = 68; 1.890 Å, 48.1°, I = 35; 1.870 Å, 48.7°, I = 38